Calculated powder X-ray diffraction pattern
Compound: Y3ScSn2
Radiation: copper Kα
Structure: a crystal structure in Alexandria, relaxed with PBE
Intensities are scaled so that the largest is 100.

Largest 12 diffraction maxima, sorted by position, 10 to 80 degrees two-theta:
- d = 4.160 Å, 21.4 deg, I = 15
- d = 3.170 Å, 28.2 deg, I = 41
- d = 2.962 Å, 30.2 deg, I = 62
- d = 2.771 Å, 32.3 deg, I = 29
- d = 2.521 Å, 35.6 deg, I = 100
- d = 2.357 Å, 38.2 deg, I = 32
- d = 2.241 Å, 40.2 deg, I = 59
- d = 1.743 Å, 52.5 deg, I = 28
- d = 1.624 Å, 56.7 deg, I = 21
- d = 1.559 Å, 59.3 deg, I = 17
- d = 1.342 Å, 70.1 deg, I = 27
- d = 1.280 Å, 74.1 deg, I = 17

```
data_Y3ScSn2
_chemical_formula_sum 'Y12 Sc4 Sn8'
_cell_length_a 6.3467
_cell_length_b 16.6255
_cell_length_c 6.3331
_cell_angle_alpha 90.00
_cell_angle_beta 90.00
_cell_angle_gamma 90.00
_space_group_name_H-M_alt 'I b a m'
_space_group_IT_number 72
_space_group_name_Hall '-I 2 2c'
loop_
_atom_site_label
_atom_site_type_symbol
_atom_site_fract_x
_atom_site_fract_y
_atom_site_fract_z
Y1 Y 0.0000 0.0000 0.2500
Y2 Y 0.2489 0.1735 0.0000
Sc1 Sc 0.0000 0.5000 0.2500
Sn1 Sn 0.2418 0.3643 0.0000
```

***

Calculated powder X-ray diffraction pattern
Compound: Ho6Cd2NO
Radiation: copper Kα
Structure: a crystal structure in Alexandria, relaxed with PBE
Intensities are scaled so that the largest is 100.

Largest 9 diffraction maxima, sorted by position, 10 to 80 degrees two-theta:
- d = 4.782 Å, 18.6 deg, I = 4
- d = 3.381 Å, 26.4 deg, I = 1
- d = 2.761 Å, 32.4 deg, I = 100
- d = 2.391 Å, 37.6 deg, I = 56
- d = 2.138 Å, 42.3 deg, I = 2
- d = 1.691 Å, 54.3 deg, I = 38
- d = 1.594 Å, 57.8 deg, I = 1
- d = 1.442 Å, 64.6 deg, I = 41
- d = 1.380 Å, 67.9 deg, I = 13

```
data_Ho6Cd2NO
_chemical_formula_sum 'Ho24 Cd8 N4 O4'
_cell_length_a 9.5636
_cell_length_b 9.5636
_cell_length_c 9.5636
_cell_angle_alpha 90.00
_cell_angle_beta 90.00
_cell_angle_gamma 90.00
_space_group_name_H-M_alt 'F m -3 m'
_space_group_IT_number 225
_space_group_name_Hall '-F 4 2 3'
loop_
_atom_site_label
_atom_site_type_symbol
_atom_site_fract_x
_atom_site_fract_y
_atom_site_fract_z
Ho1 Ho 0.0000 0.0000 0.2477
Cd1 Cd 0.2500 0.2500 0.2500
N1 N 0.0000 0.0000 0.0000
O1 O 0.0000 0.0000 0.5000
```

***

Calculated powder X-ray diffraction pattern
Compound: Pm9YAl2
Radiation: copper Kα
Structure: a crystal structure in Alexandria, relaxed with PBE
Intensities are scaled so that the largest is 100.

Largest 12 diffraction maxima, sorted by position, 10 to 80 degrees two-theta:
- d = 5.032 Å, 17.6 deg, I = 4
- d = 4.923 Å, 18.0 deg, I = 8
- d = 3.519 Å, 25.3 deg, I = 7
- d = 2.863 Å, 31.2 deg, I = 100
- d = 2.516 Å, 35.7 deg, I = 16
- d = 2.462 Å, 36.5 deg, I = 34
- d = 1.760 Å, 52.0 deg, I = 22
- d = 1.741 Å, 52.6 deg, I = 12
- d = 1.511 Å, 61.3 deg, I = 12
- d = 1.487 Å, 62.4 deg, I = 27
- d = 1.432 Å, 65.2 deg, I = 11
- d = 1.231 Å, 77.6 deg, I = 4

```
data_Pm9YAl2
_chemical_formula_sum 'Pm9 Y1 Al2'
_cell_length_a 4.9234
_cell_length_b 4.9234
_cell_length_c 15.0968
_cell_angle_alpha 90.00
_cell_angle_beta 90.00
_cell_angle_gamma 90.00
_space_group_name_H-M_alt 'P 4/m m m'
_space_group_IT_number 123
_space_group_name_Hall '-P 4 2'
loop_
_atom_site_label
_atom_site_type_symbol
_atom_site_fract_x
_atom_site_fract_y
_atom_site_fract_z
Pm1 Pm 0.0000 0.0000 0.0000
Pm2 Pm 0.0000 0.0000 0.3400
Pm3 Pm 0.0000 0.5000 0.1779
Pm4 Pm 0.0000 0.5000 0.5000
Y1 Y 0.5000 0.5000 0.0000
Al1 Al 0.5000 0.5000 0.3402
```

***

Calculated powder X-ray diffraction pattern
Compound: CsNpCl14
Radiation: copper Kα
Structure: a crystal structure in Alexandria, relaxed with PBE
Intensities are scaled so that the largest is 100.

Largest 12 diffraction maxima, sorted by position, 10 to 80 degrees two-theta:
- d = 6.633 Å, 13.3 deg, I = 40
- d = 6.324 Å, 14.0 deg, I = 100
- d = 5.562 Å, 15.9 deg, I = 75
- d = 5.208 Å, 17.0 deg, I = 81
- d = 4.823 Å, 18.4 deg, I = 30
- d = 4.481 Å, 19.8 deg, I = 50
- d = 4.441 Å, 20.0 deg, I = 81
- d = 3.823 Å, 23.3 deg, I = 55
- d = 3.687 Å, 24.1 deg, I = 37
- d = 3.020 Å, 29.6 deg, I = 40
- d = 2.689 Å, 33.3 deg, I = 40
- d = 2.655 Å, 33.8 deg, I = 27

```
data_CsNpCl14
_chemical_formula_sum 'Cs2 Np2 Cl28'
_cell_length_a 11.7914
_cell_length_b 17.7314
_cell_length_c 7.0307
_cell_angle_alpha 90.00
_cell_angle_beta 109.37
_cell_angle_gamma 90.00
_space_group_name_H-M_alt 'C 1 2 1'
_space_group_IT_number 5
loop_
_space_group_symop_operation_xyz
'x,y,z'
'-x,y,-z'
'x+1/2,y+1/2,z'
'-x+1/2,y+1/2,-z'
loop_
_atom_site_label
_atom_site_type_symbol
_atom_site_fract_x
_atom_site_fract_y
_atom_site_fract_z
Cs1 Cs 0.0000 0.0000 0.0000
Np1 Np 0.0000 0.7075 0.0000
Cl1 Cl 0.0000 0.4272 0.5000
Cl2 Cl 0.0000 0.9794 0.5000
Cl3 Cl 0.0404 0.2001 0.2591
Cl4 Cl 0.0560 0.6083 0.2608
Cl5 Cl 0.0557 0.8056 0.2618
Cl6 Cl 0.1724 0.4273 0.7618
Cl7 Cl 0.1943 0.1591 0.4506
Cl8 Cl 0.2059 0.7081 0.9885
```

***

Calculated powder X-ray diffraction pattern
Compound: Ca2B8H2O15
Radiation: copper Kα
Structure: a crystal structure in Alexandria, relaxed with PBE
Intensities are scaled so that the largest is 100.

Largest 12 diffraction maxima, sorted by position, 10 to 80 degrees two-theta:
- d = 8.270 Å, 10.7 deg, I = 100
- d = 4.667 Å, 19.0 deg, I = 58
- d = 4.543 Å, 19.5 deg, I = 85
- d = 4.135 Å, 21.5 deg, I = 61
- d = 3.398 Å, 26.2 deg, I = 91
- d = 3.067 Å, 29.1 deg, I = 73
- d = 3.057 Å, 29.2 deg, I = 45
- d = 3.029 Å, 29.5 deg, I = 72
- d = 2.125 Å, 42.5 deg, I = 56
- d = 2.065 Å, 43.8 deg, I = 72
- d = 2.022 Å, 44.8 deg, I = 50
- d = 1.953 Å, 46.5 deg, I = 56

```
data_Ca2B8H2O15
_chemical_formula_sum 'Ca4 B16 H4 O30'
_cell_length_a 6.4827
_cell_length_b 9.4338
_cell_length_c 10.2631
_cell_angle_alpha 117.01
_cell_angle_beta 91.91
_cell_angle_gamma 98.25
_space_group_name_H-M_alt 'P -1'
_space_group_IT_number 2
loop_
_space_group_symop_operation_xyz
'x,y,z'
'-x,-y,-z'
loop_
_atom_site_label
_atom_site_type_symbol
_atom_site_fract_x
_atom_site_fract_y
_atom_site_fract_z
Ca1 Ca 0.0185 0.1789 0.2142
Ca2 Ca 0.3252 0.1796 0.6687
B1 B 0.0648 0.1859 0.9188
B2 B 0.0773 0.4070 0.6392
B3 B 0.2282 0.8244 0.4629
B4 B 0.2533 0.9480 0.2809
B5 B 0.2705 0.5312 0.3370
B6 B 0.2920 0.7468 0.0250
B7 B 0.4178 0.6140 0.7660
B8 B 0.4325 0.8365 0.6828
H1 H 0.3262 0.1401 0.0029
H2 H 0.3362 0.3511 0.9836
O1 O 0.0006 0.2438 0.5716
O2 O 0.0347 0.9288 0.2283
O3 O 0.0564 0.4839 0.3435
O4 O 0.0924 0.7479 0.9762
O5 O 0.1761 0.0934 0.9799
O6 O 0.2153 0.3100 0.9076
O7 O 0.2815 0.9536 0.4248
O8 O 0.2841 0.4526 0.6894
O9 O 0.2908 0.8984 0.6251
O10 O 0.3347 0.7253 0.7229
O11 O 0.3529 0.6911 0.3862
O12 O 0.3554 0.1099 0.2939
O13 O 0.3621 0.8204 0.1735
O14 O 0.3679 0.4021 0.2748
O15 O 0.4345 0.6792 0.9280
```

***

Calculated powder X-ray diffraction pattern
Compound: Tm4SnAuC
Radiation: copper Kα
Structure: a crystal structure in Alexandria, relaxed with PBE
Intensities are scaled so that the largest is 100.

Largest 12 diffraction maxima, sorted by position, 10 to 80 degrees two-theta:
- d = 7.390 Å, 12.0 deg, I = 12
- d = 3.375 Å, 26.4 deg, I = 19
- d = 3.070 Å, 29.1 deg, I = 74
- d = 2.513 Å, 35.7 deg, I = 18
- d = 2.492 Å, 36.0 deg, I = 100
- d = 2.463 Å, 36.5 deg, I = 22
- d = 2.386 Å, 37.7 deg, I = 68
- d = 1.714 Å, 53.5 deg, I = 30
- d = 1.687 Å, 54.4 deg, I = 24
- d = 1.479 Å, 62.8 deg, I = 17
- d = 1.397 Å, 67.0 deg, I = 34
- d = 1.392 Å, 67.3 deg, I = 15

```
data_Tm4SnAuC
_chemical_formula_sum 'Tm16 Sn4 Au4 C4'
_cell_length_a 6.7547
_cell_length_b 14.7803
_cell_length_c 6.7438
_cell_angle_alpha 90.00
_cell_angle_beta 90.00
_cell_angle_gamma 90.00
_space_group_name_H-M_alt 'C m c m'
_space_group_IT_number 63
_space_group_name_Hall '-C 2c 2'
loop_
_atom_site_label
_atom_site_type_symbol
_atom_site_fract_x
_atom_site_fract_y
_atom_site_fract_z
Tm1 Tm 0.0000 0.0780 0.2500
Tm2 Tm 0.0000 0.4111 0.2500
Tm3 Tm 0.2500 0.2500 0.0000
Sn1 Sn 0.0000 0.3849 0.7500
Au1 Au 0.0000 0.1179 0.7500
C1 C 0.0000 0.2483 0.2500
```